1.
For Rb2Cu2AsSe4, the GGA-PBE geometry in Alexandria gives the theoretical X-ray powder pattern in this record (Cu Kα).

Principal peaks in the range 10° ≤ 2θ ≤ 90°, low angle first:
two_theta	I_rel
10.55	61
24.29	48
24.69	100
27.09	51
27.37	30
29.41	37
34.15	66
35.06	29
40.50	32
46.07	32

Structure:
```
data_Rb2Cu2AsSe4
_chemical_formula_sum 'Rb2 Cu2 As1 Se4'
_symmetry_space_group_name_H-M 'P -1'
_symmetry_Int_Tables_number 2
_symmetry_space_group_name_Hall '-P 1'
_cell_length_a 4.779
_cell_length_b 7.040
_cell_length_c 8.893
_cell_angle_alpha 73.60
_cell_angle_beta 75.07
_cell_angle_gamma 71.59
loop_
_atom_site_label
_atom_site_fract_x
_atom_site_fract_y
_atom_site_fract_z
_atom_site_occupancy
Rb1 0.047 0.218 0.125 1
Cu1 0.036 0.325 0.604 1
As1 0.500 0.500 0.500 1
Se1 0.367 0.655 0.191 1
Se2 0.421 0.171 0.419 1
```

***

2.
For La8AlPd2, the GGA-PBE geometry in Alexandria gives the theoretical X-ray powder pattern in this record (Cu Kα).

Principal peaks in the range 10° ≤ 2θ ≤ 90°, low angle first:
two_theta	I_rel
23.60	37
28.87	26
29.22	44
30.57	100
31.19	68
32.43	36
33.45	57
35.72	37
36.44	34
51.42	25

Structure:
```
data_La8AlPd2
_chemical_formula_sum 'La16 Al2 Pd4'
_symmetry_space_group_name_H-M 'C 1 m 1'
_symmetry_Int_Tables_number 8
_symmetry_space_group_name_Hall 'C -2y'
_cell_length_a 9.234
_cell_length_b 14.040
_cell_length_c 5.463
_cell_angle_alpha 90.00
_cell_angle_beta 104.52
_cell_angle_gamma 90.00
loop_
_atom_site_label
_atom_site_fract_x
_atom_site_fract_y
_atom_site_fract_z
_atom_site_occupancy
La1 0.000 0.000 0.000 1
La2 0.060 0.380 0.742 1
La3 0.201 0.112 0.609 1
La4 0.257 0.500 0.369 1
La5 0.368 0.246 0.179 1
Al1 0.379 0.000 0.179 1
Pd1 0.388 0.320 0.689 1
```

***

3.
For AlSnAu, the GGA-PBE geometry in Alexandria gives the theoretical X-ray powder pattern in this record (Cu Kα).

Principal peaks in the range 10° ≤ 2θ ≤ 90°, low angle first:
two_theta	I_rel
19.87	49
27.23	34
27.60	70
29.38	100
30.25	60
31.58	56
35.16	36
42.31	33
42.42	48
45.75	37

Structure:
```
data_AlSnAu
_chemical_formula_sum 'Al2 Sn2 Au2'
_symmetry_space_group_name_H-M 'P -1'
_symmetry_Int_Tables_number 2
_symmetry_space_group_name_Hall '-P 1'
_cell_length_a 4.391
_cell_length_b 4.710
_cell_length_c 6.855
_cell_angle_alpha 72.30
_cell_angle_beta 77.03
_cell_angle_gamma 81.30
loop_
_atom_site_label
_atom_site_fract_x
_atom_site_fract_y
_atom_site_fract_z
_atom_site_occupancy
Al1 0.211 0.203 0.019 1
Sn1 0.274 0.750 0.576 1
Au1 0.243 0.626 0.193 1
```

***

4.
For Er4TmAl3, the GGA-PBE geometry in Alexandria gives the theoretical X-ray powder pattern in this record (Cu Kα).

Principal peaks in the range 10° ≤ 2θ ≤ 90°, low angle first:
two_theta	I_rel
21.00	43
24.36	35
27.45	85
32.09	52
32.27	87
38.04	40
38.97	100
41.78	47
51.66	34
66.74	32

Structure:
```
data_Er4TmAl3
_chemical_formula_sum 'Er8 Tm2 Al6'
_symmetry_space_group_name_H-M 'I m m m'
_symmetry_Int_Tables_number 71
_symmetry_space_group_name_Hall '-I 2 2'
_cell_length_a 3.332
_cell_length_b 8.524
_cell_length_c 14.616
_cell_angle_alpha 90.00
_cell_angle_beta 90.00
_cell_angle_gamma 90.00
loop_
_atom_site_label
_atom_site_fract_x
_atom_site_fract_y
_atom_site_fract_z
_atom_site_occupancy
Er1 0.000 0.197 0.141 1
Tm1 0.000 0.500 0.000 1
Al1 0.000 0.000 0.318 1
Al2 0.000 0.500 0.500 1
```

***

5.
For LaSi2Tc, the GGA-PBE geometry in Alexandria gives the theoretical X-ray powder pattern in this record (Cu Kα).

Principal peaks in the range 10° ≤ 2θ ≤ 90°, low angle first:
two_theta	I_rel
25.09	49
28.27	78
33.52	100
33.98	83
42.36	62
46.06	24
50.17	19
53.27	19
57.40	18
58.46	34

Structure:
```
data_LaSi2Tc
_chemical_formula_sum 'La2 Si4 Tc2'
_symmetry_space_group_name_H-M 'C 1 2/m 1'
_symmetry_Int_Tables_number 12
_symmetry_space_group_name_Hall '-C 2y'
_cell_length_a 7.641
_cell_length_b 3.941
_cell_length_c 5.684
_cell_angle_alpha 90.00
_cell_angle_beta 111.73
_cell_angle_gamma 90.00
loop_
_atom_site_label
_atom_site_fract_x
_atom_site_fract_y
_atom_site_fract_z
_atom_site_occupancy
La1 0.000 0.000 0.000 1
Si1 0.217 0.000 0.623 1
Tc1 0.000 0.500 0.500 1
```

***

6.
For La8PrEr3, the GGA-PBE geometry in Alexandria gives the theoretical X-ray powder pattern in this record (Cu Kα).

Principal peaks in the range 10° ≤ 2θ ≤ 90°, low angle first:
two_theta	I_rel
24.98	20
29.72	59
29.98	100
30.16	34
30.38	29
30.58	84
33.10	15
34.29	31
49.61	13
57.74	13

Structure:
```
data_La8PrEr3
_chemical_formula_sum 'La16 Pr2 Er6'
_symmetry_space_group_name_H-M 'C 1 2 1'
_symmetry_Int_Tables_number 5
_symmetry_space_group_name_Hall 'C 2y'
_cell_length_a 15.911
_cell_length_b 8.946
_cell_length_c 6.447
_cell_angle_alpha 90.00
_cell_angle_beta 113.32
_cell_angle_gamma 90.00
loop_
_atom_site_label
_atom_site_fract_x
_atom_site_fract_y
_atom_site_fract_z
_atom_site_occupancy
La1 0.070 0.000 0.319 1
La2 0.129 0.631 0.637 1
La3 0.175 0.992 0.930 1
La4 0.249 0.241 0.643 1
Pr1 0.000 0.686 0.000 1
Er1 0.000 0.312 0.500 1
Er2 0.121 0.353 0.097 1
```

***

7.
For AlZn, the GGA-PBE geometry in Alexandria gives the theoretical X-ray powder pattern in this record (Cu Kα).

Principal peaks in the range 10° ≤ 2θ ≤ 90°, low angle first:
two_theta	I_rel
22.46	21
31.52	18
39.05	100
45.17	33
45.84	16
65.80	10
66.32	20
79.25	23
80.21	11
83.88	10

Structure:
```
data_AlZn
_chemical_formula_sum 'Al1 Zn1'
_symmetry_space_group_name_H-M 'P 4/m m m'
_symmetry_Int_Tables_number 123
_symmetry_space_group_name_Hall '-P 4 2'
_cell_length_a 2.839
_cell_length_b 2.839
_cell_length_c 3.959
_cell_angle_alpha 90.00
_cell_angle_beta 90.00
_cell_angle_gamma 90.00
loop_
_atom_site_label
_atom_site_fract_x
_atom_site_fract_y
_atom_site_fract_z
_atom_site_occupancy
Al1 0.000 0.000 0.000 1
Zn1 0.500 0.500 0.500 1
```

***

8.
For Ba2H4RhS2, the GGA-PBE geometry in Alexandria gives the theoretical X-ray powder pattern in this record (Cu Kα).

Principal peaks in the range 10° ≤ 2θ ≤ 90°, low angle first:
two_theta	I_rel
17.64	35
20.60	29
28.85	100
29.07	97
35.71	30
41.26	38
51.26	40
51.68	36
60.27	23
82.90	19

Structure:
```
data_Ba2H4RhS2
_chemical_formula_sum 'Ba4 H8 Rh2 S4'
_symmetry_space_group_name_H-M 'I 4/m m m'
_symmetry_Int_Tables_number 139
_symmetry_space_group_name_Hall '-I 4 2'
_cell_length_a 6.189
_cell_length_b 6.189
_cell_length_c 8.622
_cell_angle_alpha 90.00
_cell_angle_beta 90.00
_cell_angle_gamma 90.00
loop_
_atom_site_label
_atom_site_fract_x
_atom_site_fract_y
_atom_site_fract_z
_atom_site_occupancy
Ba1 0.000 0.500 0.250 1
H1 0.193 0.193 0.000 1
Rh1 0.000 0.000 0.000 1
S1 0.000 0.000 0.274 1
```

***

9.
For Th3FeSe2, the GGA-PBE geometry in Alexandria gives the theoretical X-ray powder pattern in this record (Cu Kα).

Principal peaks in the range 10° ≤ 2θ ≤ 90°, low angle first:
two_theta	I_rel
25.21	35
27.00	40
29.75	62
30.50	100
41.33	20
43.12	78
45.92	19
51.75	21
55.67	22
63.39	21

Structure:
```
data_Th3FeSe2
_chemical_formula_sum 'Th6 Fe2 Se4'
_symmetry_space_group_name_H-M 'C 1 2/m 1'
_symmetry_Int_Tables_number 12
_symmetry_space_group_name_Hall '-C 2y'
_cell_length_a 13.683
_cell_length_b 6.007
_cell_length_c 3.953
_cell_angle_alpha 90.00
_cell_angle_beta 106.72
_cell_angle_gamma 90.00
loop_
_atom_site_label
_atom_site_fract_x
_atom_site_fract_y
_atom_site_fract_z
_atom_site_occupancy
Th1 0.000 0.000 0.000 1
Th2 0.138 0.500 0.639 1
Fe1 0.000 0.500 0.000 1
Se1 0.178 0.000 0.677 1
```

***

10.
For CaLaNdDy, the GGA-PBE geometry in Alexandria gives the theoretical X-ray powder pattern in this record (Cu Kα).

Principal peaks in the range 10° ≤ 2θ ≤ 90°, low angle first:
two_theta	I_rel
28.91	74
29.05	38
31.59	100
35.66	49
46.64	14
49.48	28
53.12	23
58.38	41
59.90	16
60.16	14

Structure:
```
data_CaLaNdDy
_chemical_formula_sum 'Ca1 La1 Nd1 Dy1'
_symmetry_space_group_name_H-M 'P 3 m 1'
_symmetry_Int_Tables_number 156
_symmetry_space_group_name_Hall 'P 3 -2"'
_cell_length_a 3.6845
_cell_length_b 3.6845
_cell_length_c 12.2936
_cell_angle_alpha 90.00
_cell_angle_beta 90.00
_cell_angle_gamma 120.00
loop_
_atom_site_label
_atom_site_fract_x
_atom_site_fract_y
_atom_site_fract_z
_atom_site_occupancy
Ca1 0.0000 0.0000 0.0000 1
La1 0.6667 0.3333 0.2697 1
Nd1 0.3333 0.6667 0.7388 1
Dy1 0.0000 0.0000 0.5071 1
```

***

11.
For KCd2Ga2Au6, the GGA-PBE geometry in Alexandria gives the theoretical X-ray powder pattern in this record (Cu Kα).

Principal peaks in the range 10° ≤ 2θ ≤ 90°, low angle first:
two_theta	I_rel
14.10	43
24.47	43
28.39	62
30.22	59
37.28	63
37.86	100
39.53	44
40.60	52
42.18	58
42.75	64

Structure:
```
data_KCd2Ga2Au6
_chemical_formula_sum 'K1 Cd2 Ga2 Au6'
_symmetry_space_group_name_H-M 'P -1'
_symmetry_Int_Tables_number 2
_symmetry_space_group_name_Hall '-P 1'
_cell_length_a 5.617
_cell_length_b 6.561
_cell_length_c 6.921
_cell_angle_alpha 87.92
_cell_angle_beta 78.62
_cell_angle_gamma 73.27
loop_
_atom_site_label
_atom_site_fract_x
_atom_site_fract_y
_atom_site_fract_z
_atom_site_occupancy
K1 0.000 0.000 0.000 1
Cd1 0.146 0.169 0.466 1
Ga1 0.362 0.599 0.238 1
Au1 0.090 0.456 0.787 1
Au2 0.378 0.744 0.580 1
Au3 0.415 0.225 0.063 1
```

***

12.
For CeTl2InF8, the GGA-PBE geometry in Alexandria gives the theoretical X-ray powder pattern in this record (Cu Kα).

Principal peaks in the range 10° ≤ 2θ ≤ 90°, low angle first:
two_theta	I_rel
26.30	100
29.17	23
41.72	20
44.54	35
49.99	35
54.13	10
54.86	13
71.22	12
78.14	11
82.21	8

Structure:
```
data_CeTl2InF8
_chemical_formula_sum 'Ce2 Tl4 In2 F16'
_symmetry_space_group_name_H-M 'I -4 m 2'
_symmetry_Int_Tables_number 119
_symmetry_space_group_name_Hall 'I -4 -2'
_cell_length_a 6.123
_cell_length_b 6.123
_cell_length_c 10.887
_cell_angle_alpha 90.00
_cell_angle_beta 90.00
_cell_angle_gamma 90.00
loop_
_atom_site_label
_atom_site_fract_x
_atom_site_fract_y
_atom_site_fract_z
_atom_site_occupancy
Ce1 0.000 0.000 0.000 1
Tl1 0.000 0.000 0.500 1
Tl2 0.000 0.500 0.250 1
In1 0.000 0.500 0.750 1
F1 0.197 0.263 0.871 1
```